Diffraction record for Sm3Fe3Hg. The powder XRD pattern is theoretical, not measured: it uses DFT lattice parameters and positions (GGA-PBE) and CuKα.
Peak positions follow from Bragg's law for the DFT cell and can differ from measured ones.

Structure:
```
Sm3Fe3Hg
1.0
9.678 0.000 0.000
-4.839 8.381 0.000
0.000 0.000 3.972
Sm Fe Hg
6 6 2
direct
0.078 0.685 0.250
0.315 0.393 0.250
0.393 0.078 0.750
0.607 0.922 0.250
0.685 0.607 0.750
0.922 0.315 0.750
0.022 0.867 0.750
0.133 0.155 0.750
0.155 0.022 0.250
0.845 0.978 0.750
0.867 0.845 0.250
0.978 0.133 0.250
0.333 0.667 0.750
0.667 0.333 0.250
```

Most intense lines, 2θ = 10–90°, sorted by position:
2θ (°), intensity
28.2, 579
29.1, 692
31.0, 702
32.0, 447
36.3, 1000
38.7, 244
43.2, 178
45.7, 277
52.9, 452
54.5, 184
56.9, 181
66.4, 232



Diffraction record for Sr4FeHg. The powder XRD pattern is theoretical, not measured: it uses DFT lattice parameters and positions (GGA-PBE) and CuKα.
Peak positions follow from Bragg's law for the DFT cell and can differ from measured ones.

Structure:
```
Sr4FeHg
1.0
0.000 5.094 5.094
5.094 0.000 5.094
5.094 5.094 0.000
Sr Fe Hg
4 1 1
direct
0.125 0.125 0.125
0.125 0.125 0.625
0.125 0.625 0.125
0.625 0.125 0.125
0.750 0.750 0.750
0.500 0.500 0.500
```

Most intense lines, 2θ = 10–90°, sorted by position:
2θ (°), intensity
15.1, 102
17.4, 113
24.7, 360
29.1, 1000
30.4, 309
43.5, 162
46.3, 372
50.7, 284
59.5, 131
60.3, 131
71.1, 233
81.9, 126



Diffraction record for Tb5Fe2Hg2. The powder XRD pattern is theoretical, not measured: it uses DFT lattice parameters and positions (GGA-PBE) and CuKα.
Peak positions follow from Bragg's law for the DFT cell and can differ from measured ones.

Structure:
```
Tb5Fe2Hg2
1.0
8.283 -3.639 0.000
8.283 3.639 0.000
0.000 0.000 7.369
Tb Fe Hg
10 4 4
direct
0.000 0.000 0.000
0.059 0.694 0.681
0.194 0.559 0.181
0.306 0.941 0.681
0.441 0.806 0.181
0.500 0.500 0.500
0.559 0.194 0.819
0.694 0.059 0.319
0.806 0.441 0.819
0.941 0.306 0.319
0.103 0.897 0.393
0.397 0.603 0.893
0.603 0.397 0.107
0.897 0.103 0.607
0.222 0.222 0.000
0.278 0.278 0.500
0.722 0.722 0.500
0.778 0.778 0.000
```

Most intense lines, 2θ = 10–90°, sorted by position:
2θ (°), intensity
27.3, 243
31.7, 360
32.1, 559
32.5, 987
32.8, 1000
34.6, 722
35.0, 501
38.6, 236
39.1, 295
39.5, 280
43.7, 257
60.5, 324



Diffraction record for FeTcHg2. The powder XRD pattern is theoretical, not measured: it uses DFT lattice parameters and positions (GGA-PBE) and CuKα.
Peak positions follow from Bragg's law for the DFT cell and can differ from measured ones.

Structure:
```
FeTcHg2
1.0
2.871 0.000 0.000
0.000 2.871 0.000
0.000 0.000 8.337
Fe Tc Hg
1 1 2
direct
0.000 0.000 0.000
0.000 0.000 0.500
0.500 0.500 0.242
0.500 0.500 0.758
```

Most intense lines, 2θ = 10–90°, sorted by position:
2θ (°), intensity
21.3, 186
31.2, 156
38.1, 1000
43.4, 169
44.6, 321
50.0, 89
54.4, 67
64.0, 213
65.0, 105
76.1, 125
77.8, 250
81.4, 110